For LaUNiSe4, a cell relaxed with PBE gives the computed powder diffractogram in this record (Cu Kα X-rays).
Intensities are scaled so that the largest is 100.

Atomic structure:
```
14
Lattice="6.8779 0.0000 0.0000 0.0000 5.9616 0.0000 -2.4055 0.0000 7.9122" Properties=species:S:1:pos:R:3 pbc="T T T"
La 0.6194 1.4904 3.4260
La 3.8529 4.4712 4.4862
U -0.6088 1.4904 7.4437
U 5.0811 4.4712 0.4685
Ni 1.3163 4.4712 1.4337
Ni 3.1561 1.4904 6.4785
Se -0.4304 4.4712 3.0088
Se -1.6226 4.4712 7.0974
Se 1.4931 3.0324 6.0072
Se 1.4931 5.9101 6.0072
Se 2.9792 0.0516 1.9050
Se 2.9792 2.9292 1.9050
Se 6.0949 1.4904 0.8148
Se 4.9027 1.4904 4.9034
```

Principal peaks in the range 10° ≤ 2θ ≤ 80°, by intensity:
| 2θ/deg | I/Imax | index |
| --- | --- | --- |
| 37.83 | 100.0 | 0 2 2 |
| 33.22 | 78.2 | 1 1 2 |
| 29.84 | 77.4 | 2 0 -2 |
| 20.10 | 77.1 | 1 1 0 |
| 33.50 | 71.7 | 2 1 -2 |
| 29.54 | 70.1 | 1 0 2 |